Record 1
For TlInO, the PBE geometry in Alexandria gives the simulated X-ray powder pattern in this record (copper Kα).

Top 10 peaks for 2θ from 10° to 80°, low angle first:
- 27.02°, rel. 67, hkl 0 1 1
- 28.93°, rel. 100, hkl 1 4 0
- 32.22°, rel. 33, hkl 2 0 0
- 35.98°, rel. 55, hkl 1 3 1
- 42.54°, rel. 37, hkl 2 1 1
- 43.71°, rel. 40, hkl 1 5 1
- 50.81°, rel. 13, hkl 0 7 1
- 55.44°, rel. 14, hkl 3 4 0
- 59.93°, rel. 26, hkl 2 8 0
- 62.62°, rel. 30, hkl 1 4 2

Atomic structure:
```
data_TlInO
_chemical_formula_sum 'Tl4 In4 O4'
_cell_length_a 5.557
_cell_length_b 14.845
_cell_length_c 3.384
_cell_angle_alpha 90.00
_cell_angle_beta 90.00
_cell_angle_gamma 90.00
_symmetry_space_group_name_H-M 'P n n m'
_symmetry_Int_Tables_number 58
loop_
_symmetry_equiv_pos_as_xyz
'x,y,z'
'-x,-y,-z'
'-x,-y,z'
'x,y,-z'
'x+1/2,-y+1/2,-z+1/2'
'-x+1/2,y+1/2,z+1/2'
'-x+1/2,y+1/2,-z+1/2'
'x+1/2,-y+1/2,z+1/2'
loop_
_atom_site_label
_atom_site_type_symbol
_atom_site_fract_x
_atom_site_fract_y
_atom_site_fract_z
_atom_site_occupancy
Tl1 Tl 0.241 0.063 0.000 1
In1 In 0.208 0.315 0.500 1
O1 O 0.078 0.234 0.000 1
```

=====

Record 2
For Tl3InO6, the PBE geometry in Alexandria gives the simulated X-ray powder pattern in this record (copper Kα).

Top 10 peaks for 2θ from 10° to 80°, low angle first:
- 23.16°, rel. 33, hkl 0 0 3
- 26.55°, rel. 22, hkl 2 0 2
- 29.65°, rel. 100, hkl 3 -1 1
- 29.87°, rel. 50, hkl 2 -1 3
- 32.62°, rel. 62, hkl 1 2 2
- 42.46°, rel. 19, hkl 3 1 2
- 42.71°, rel. 22, hkl 3 -1 4
- 48.70°, rel. 15, hkl 5 -2 1
- 50.65°, rel. 30, hkl 4 1 0
- 51.28°, rel. 22, hkl 1 1 6

Atomic structure:
```
data_Tl3InO6
_chemical_formula_sum 'Tl18 In6 O36'
_cell_length_a 9.5382
_cell_length_b 9.5382
_cell_length_c 11.5229
_cell_angle_alpha 90.00
_cell_angle_beta 90.00
_cell_angle_gamma 120.00
_symmetry_space_group_name_H-M 'R -3'
_symmetry_Int_Tables_number 148
_symmetry_space_group_name_Hall '-R 3'
loop_
_atom_site_label
_atom_site_type_symbol
_atom_site_fract_x
_atom_site_fract_y
_atom_site_fract_z
_atom_site_occupancy
Tl1 Tl 0.0402 0.7750 0.2119 1
In1 In 0.0000 0.0000 0.0000 1
In2 In 0.0000 0.0000 0.5000 1
O1 O 0.0270 0.8405 0.8767 1
O2 O 0.0277 0.8152 0.4044 1
```

=====

Record 3
For Tm5In4O, the PBE geometry in Alexandria gives the simulated X-ray powder pattern in this record (copper Kα).

Top 10 peaks for 2θ from 10° to 80°, low angle first:
- 30.37°, rel. 40, hkl 3 1 0
- 31.81°, rel. 49, hkl 0 0 2
- 32.97°, rel. 100, hkl 3 0 1
- 38.37°, rel. 42, hkl 2 3 1
- 41.15°, rel. 17, hkl 3 3 0
- 44.56°, rel. 28, hkl 3 1 2
- 52.93°, rel. 16, hkl 3 3 2
- 57.42°, rel. 20, hkl 3 0 3
- 62.95°, rel. 23, hkl 6 1 1
- 66.45°, rel. 14, hkl 0 0 4

Atomic structure:
```
data_Tm5In4O
_chemical_formula_sum 'Tm10 In8 O2'
_cell_length_a 9.307
_cell_length_b 9.307
_cell_length_c 5.626
_cell_angle_alpha 90.00
_cell_angle_beta 90.00
_cell_angle_gamma 90.00
_symmetry_space_group_name_H-M 'I 4'
_symmetry_Int_Tables_number 79
loop_
_symmetry_equiv_pos_as_xyz
'x,y,z'
'-y,x,z'
'-x,-y,z'
'y,-x,z'
'x+1/2,y+1/2,z+1/2'
'-y+1/2,x+1/2,z+1/2'
'-x+1/2,-y+1/2,z+1/2'
'y+1/2,-x+1/2,z+1/2'
loop_
_atom_site_label
_atom_site_type_symbol
_atom_site_fract_x
_atom_site_fract_y
_atom_site_fract_z
_atom_site_occupancy
Tm1 Tm 0.000 0.000 0.000 1
Tm2 Tm 0.129 0.783 0.526 1
In1 In 0.045 0.656 0.026 1
O1 O 0.000 0.000 0.568 1
```